Mn3SiNi: simulated X-ray diffraction stick pattern (a wavelength of 1.5418 Å), based on DFT lattice parameters and positions (GGA-PBE).
No peak broadening, texture or thermal motion is included.

Structure:
```
data_Mn3SiNi
_space_group_name_H-M_alt 'P 21 3'
_space_group_IT_number 198
_space_group_name_Hall 'P 2ac 2ab 3'
_cell_length_a 6.054
_cell_length_b 6.054
_cell_length_c 6.054
_cell_angle_alpha 90.00
_cell_angle_beta 90.00
_cell_angle_gamma 90.00
loop_
_atom_site_label
_atom_site_type_symbol
_atom_site_fract_x
_atom_site_fract_y
_atom_site_fract_z
Mn1 Mn 0.045 0.123 0.796
Si1 Si 0.063 0.937 0.437
Ni1 Ni 0.187 0.187 0.187
```

Principal peaks in the range 2θ = 10–80°, in order of rising 2θ:
2θ = 25.5°, I = 47, (1 1 1)
2θ = 29.5°, I = 26, (2 0 0)
2θ = 33.1°, I = 113, (2 0 1)
2θ = 36.4°, I = 29, (2 1 1)
2θ = 44.9°, I = 1000, (2 2 1)
2θ = 47.5°, I = 588, (3 0 1)
2θ = 50.0°, I = 234, (3 1 1)
2θ = 56.9°, I = 77, (3 1 2)
2θ = 65.4°, I = 62, (4 1 1)
2θ = 69.4°, I = 59, (4 2 0)
2θ = 77.2°, I = 18, (4 2 2)
2θ = 79.1°, I = 27, (4 3 0)